# 1
For CaTmMgAl, DFT lattice parameters and positions (PBE) gives the calculated powder XRD pattern in this record (λ = 1.5418 Å (Cu Kα)).
Kinematic intensities with the Lorentz-polarization factor, no thermal factor.

Largest 8 diffraction maxima, low angle first, 2θ from 10° to 80°:
d 8.008, intensity 82.5
d 4.004, intensity 25.0
d 3.617, intensity 40.3
d 3.296, intensity 38.2
d 2.684, intensity 100.0
d 2.557, intensity 45.5
d 2.436, intensity 20.0
d 1.500, intensity 32.8

Atomic structure:
Lattice parameters (Å, degrees): 3.617 3.617 8.008 90.00 90.00 90.00
Fractional positions:
Ca 0.000 0.000 0.000
Tm 0.000 0.000 0.461
Mg 0.500 0.500 0.718
Al 0.500 0.500 0.245

---

# 2
For Ca2MnAl, DFT lattice parameters and positions (PBE) gives the calculated powder XRD pattern in this record (λ = 1.5418 Å (Cu Kα)).
Kinematic intensities with the Lorentz-polarization factor, no thermal factor.

Largest 8 diffraction maxima, low angle first, 2θ from 10° to 80°:
d 2.966, intensity 20.7
d 2.696, intensity 16.3
d 2.625, intensity 29.9
d 2.608, intensity 100.0
d 1.853, intensity 10.8
d 1.514, intensity 13.4
d 1.512, intensity 13.3
d 1.490, intensity 9.1

Atomic structure:
Lattice parameters (Å, degrees): 11.981 3.620 5.250 90.00 115.84 90.00
Fractional positions:
Ca 0.000 0.000 0.000
Ca 0.207 0.000 0.707
Ca 0.500 0.500 0.000
Ca 0.707 0.500 0.707
Mn 0.433 0.000 0.434
Mn 0.933 0.500 0.434
Al 0.261 0.500 0.260
Al 0.761 0.000 0.260